Diffraction record for ZrRu2. The powder diffractogram is simulated, not measured: it uses a crystal structure in the Materials Project, relaxed with GGA-PBE and Cu Kα, 1.54184 Å.
Lines closer than 0.1° are merged.

Most intense lines, 15° ≤ 2θ ≤ 90°, by intensity:
two_theta	I (rel.)
40.6	100
41.5	95
37.2	73
68.8	34
72.7	28
34.5	25
45.5	25
63.6	24
65.9	23
42.1	21

Cell and atoms:
```
data_ZrRu2
_symmetry_space_group_name_H-M 'P 63/m m c'
_symmetry_Int_Tables_number 194
_symmetry_space_group_name_Hall '-P 6c 2c'
_cell_length_a 5.2000
_cell_length_b 5.2000
_cell_length_c 8.5856
_cell_angle_alpha 90.00
_cell_angle_beta 90.00
_cell_angle_gamma 120.00
loop_
_atom_site_label
_atom_site_type_symbol
_atom_site_fract_x
_atom_site_fract_y
_atom_site_fract_z
Zr1 Zr 0.3333 0.6667 0.0663
Ru1 Ru 0.0000 0.0000 0.0000
Ru2 Ru 0.1719 0.3438 0.7500
```